1.
This entry pairs a crystal structure of CeAg3Cl7 with its calculated PXRD pattern. Radiation: Cu Kα (λ = 1.5418 Å). Structure: a cell relaxed with GGA-PBE.

Peak list (10 most intense, 5° ≤ 2θ ≤ 70°, by angle)
- 6.751 Å, 2θ = 13.11°, intensity 31
- 5.022 Å, 2θ = 17.66°, intensity 100
- 4.441 Å, 2θ = 20.00°, intensity 93
- 3.346 Å, 2θ = 26.64°, intensity 28
- 3.322 Å, 2θ = 26.84°, intensity 69
- 3.057 Å, 2θ = 29.21°, intensity 30
- 2.446 Å, 2θ = 36.74°, intensity 35
- 2.417 Å, 2θ = 37.20°, intensity 55
- 2.274 Å, 2θ = 39.63°, intensity 31
- 1.926 Å, 2θ = 47.19°, intensity 24

```
data_CeAg3Cl7
_symmetry_space_group_name_H-M 'P 1'
_symmetry_Int_Tables_number 1
_cell_length_a 7.650
_cell_length_b 7.650
_cell_length_c 8.885
_cell_angle_alpha 124.17
_cell_angle_beta 124.17
_cell_angle_gamma 60.48
loop_
_symmetry_equiv_pos_as_xyz
'x,y,z'
loop_
_atom_site_label
_atom_site_type_symbol
_atom_site_fract_x
_atom_site_fract_y
_atom_site_fract_z
_atom_site_occupancy
Ce1 Ce 0.000 0.000 0.000 1
Ag1 Ag 0.182 0.709 0.438 1
Ag2 Ag 0.505 0.505 0.092 1
Ag3 Ag 0.709 0.182 0.438 1
Cl1 Cl 0.051 0.051 0.341 1
Cl2 Cl 0.078 0.577 0.866 1
Cl3 Cl 0.435 0.932 0.146 1
Cl4 Cl 0.548 0.548 0.426 1
Cl5 Cl 0.577 0.078 0.866 1
Cl6 Cl 0.932 0.435 0.146 1
Cl7 Cl 0.956 0.956 0.653 1
```

2.
This entry pairs a crystal structure of Er4Zn3Hg with its calculated PXRD pattern. Radiation: Cu Kα (λ = 1.5418 Å). Structure: a cell relaxed with GGA-PBE.

Peak list (10 most intense, 5° ≤ 2θ ≤ 70°, by angle)
- 3.532 Å, 2θ = 25.22°, intensity 15
- 2.807 Å, 2θ = 31.88°, intensity 19
- 2.779 Å, 2θ = 32.21°, intensity 100
- 2.631 Å, 2θ = 34.08°, intensity 41
- 2.388 Å, 2θ = 37.67°, intensity 40
- 2.274 Å, 2θ = 39.63°, intensity 66
- 1.849 Å, 2θ = 49.27°, intensity 16
- 1.767 Å, 2θ = 51.74°, intensity 16
- 1.719 Å, 2θ = 53.28°, intensity 23
- 1.462 Å, 2θ = 63.64°, intensity 18

```
data_Er4Zn3Hg
_symmetry_space_group_name_H-M 'P 1'
_symmetry_Int_Tables_number 1
_cell_length_a 3.699
_cell_length_b 4.543
_cell_length_c 11.229
_cell_angle_alpha 90.00
_cell_angle_beta 90.00
_cell_angle_gamma 90.00
loop_
_symmetry_equiv_pos_as_xyz
'x,y,z'
loop_
_atom_site_label
_atom_site_type_symbol
_atom_site_fract_x
_atom_site_fract_y
_atom_site_fract_z
_atom_site_occupancy
Er1 Er 0.000 0.000 0.000 1
Er2 Er 0.000 0.500 0.296 1
Er3 Er 0.500 0.000 0.488 1
Er4 Er 0.500 0.500 0.802 1
Zn1 Zn 0.000 0.500 0.565 1
Zn2 Zn 0.500 0.000 0.217 1
Zn3 Zn 0.500 0.500 0.075 1
Hg1 Hg 0.000 0.000 0.721 1
```

3.
This entry pairs a crystal structure of CeZnF5 with its calculated PXRD pattern. Radiation: Cu Kα (λ = 1.5418 Å). Structure: a cell relaxed with GGA-PBE.

Peak list (10 most intense, 5° ≤ 2θ ≤ 70°, by angle)
- 5.325 Å, 2θ = 16.65°, intensity 12
- 4.234 Å, 2θ = 20.98°, intensity 69
- 3.433 Å, 2θ = 25.95°, intensity 100
- 2.667 Å, 2θ = 33.61°, intensity 40
- 2.117 Å, 2θ = 42.71°, intensity 18
- 1.987 Å, 2θ = 45.66°, intensity 14
- 1.979 Å, 2θ = 45.85°, intensity 15
- 1.802 Å, 2θ = 50.66°, intensity 30
- 1.799 Å, 2θ = 50.76°, intensity 11
- 1.719 Å, 2θ = 53.29°, intensity 12

```
data_CeZnF5
_symmetry_space_group_name_H-M 'P 1'
_symmetry_Int_Tables_number 1
_cell_length_a 5.797
_cell_length_b 5.797
_cell_length_c 7.947
_cell_angle_alpha 110.07
_cell_angle_beta 110.07
_cell_angle_gamma 72.40
loop_
_symmetry_equiv_pos_as_xyz
'x,y,z'
loop_
_atom_site_label
_atom_site_type_symbol
_atom_site_fract_x
_atom_site_fract_y
_atom_site_fract_z
_atom_site_occupancy
Ce1 Ce 0.052 0.948 0.750 1
Ce2 Ce 0.948 0.052 0.250 1
Zn1 Zn 0.500 0.500 0.000 1
Zn2 Zn 0.500 0.500 0.500 1
F1 F 0.183 0.797 0.032 1
F2 F 0.203 0.817 0.468 1
F3 F 0.242 0.288 0.379 1
F4 F 0.288 0.242 0.879 1
F5 F 0.406 0.594 0.750 1
F6 F 0.594 0.406 0.250 1
F7 F 0.712 0.758 0.121 1
F8 F 0.758 0.712 0.621 1
F9 F 0.797 0.183 0.532 1
F10 F 0.817 0.203 0.968 1
```

4.
This entry pairs a crystal structure of Hg4Pb5Au2 with its calculated PXRD pattern. Radiation: Cu Kα (λ = 1.5418 Å). Structure: a cell relaxed with GGA-PBE.

Peak list (10 most intense, 5° ≤ 2θ ≤ 70°, by angle)
- 2.882 Å, 2θ = 31.03°, intensity 22
- 2.796 Å, 2θ = 32.01°, intensity 39
- 2.772 Å, 2θ = 32.29°, intensity 78
- 2.704 Å, 2θ = 33.13°, intensity 100
- 2.691 Å, 2θ = 33.30°, intensity 37
- 2.526 Å, 2θ = 35.54°, intensity 51
- 2.510 Å, 2θ = 35.78°, intensity 36
- 2.481 Å, 2θ = 36.21°, intensity 26
- 1.906 Å, 2θ = 47.71°, intensity 33
- 1.626 Å, 2θ = 56.60°, intensity 20

```
data_Hg4Pb5Au2
_symmetry_space_group_name_H-M 'P 1'
_symmetry_Int_Tables_number 1
_cell_length_a 8.442
_cell_length_b 18.399
_cell_length_c 3.812
_cell_angle_alpha 90.00
_cell_angle_beta 90.00
_cell_angle_gamma 90.00
loop_
_symmetry_equiv_pos_as_xyz
'x,y,z'
loop_
_atom_site_label
_atom_site_type_symbol
_atom_site_fract_x
_atom_site_fract_y
_atom_site_fract_z
_atom_site_occupancy
Hg1 Hg 0.084 0.145 0.000 1
Hg2 Hg 0.217 0.434 0.000 1
Hg3 Hg 0.283 0.934 0.000 1
Hg4 Hg 0.416 0.645 0.000 1
Hg5 Hg 0.584 0.355 0.000 1
Hg6 Hg 0.717 0.066 0.000 1
Hg7 Hg 0.783 0.566 0.000 1
Hg8 Hg 0.916 0.855 0.000 1
Pb1 Pb 0.000 0.000 0.500 1
Pb2 Pb 0.120 0.581 0.500 1
Pb3 Pb 0.217 0.779 0.500 1
Pb4 Pb 0.283 0.279 0.500 1
Pb5 Pb 0.380 0.081 0.500 1
Pb6 Pb 0.500 0.500 0.500 1
Pb7 Pb 0.620 0.919 0.500 1
Pb8 Pb 0.717 0.721 0.500 1
Pb9 Pb 0.783 0.221 0.500 1
Pb10 Pb 0.880 0.419 0.500 1
Au1 Au 0.000 0.304 0.000 1
Au2 Au 0.000 0.696 0.000 1
Au3 Au 0.500 0.196 0.000 1
Au4 Au 0.500 0.804 0.000 1
```

5.
This entry pairs a crystal structure of La4InN with its calculated PXRD pattern. Radiation: Cu Kα (λ = 1.5418 Å). Structure: a cell relaxed with GGA-PBE.

Peak list (10 most intense, 5° ≤ 2θ ≤ 70°, by angle)
- 4.922 Å, 2θ = 18.02°, intensity 18
- 3.264 Å, 2θ = 27.32°, intensity 100
- 3.042 Å, 2θ = 29.36°, intensity 24
- 2.996 Å, 2θ = 29.82°, intensity 24
- 2.946 Å, 2θ = 30.34°, intensity 18
- 2.907 Å, 2θ = 30.76°, intensity 75
- 2.806 Å, 2θ = 31.89°, intensity 26
- 2.708 Å, 2θ = 33.08°, intensity 47
- 2.461 Å, 2θ = 36.51°, intensity 16
- 1.652 Å, 2θ = 55.62°, intensity 42

```
data_La4InN
_symmetry_space_group_name_H-M 'P 1'
_symmetry_Int_Tables_number 1
_cell_length_a 5.416
_cell_length_b 9.843
_cell_length_c 7.355
_cell_angle_alpha 90.00
_cell_angle_beta 90.00
_cell_angle_gamma 90.00
loop_
_symmetry_equiv_pos_as_xyz
'x,y,z'
loop_
_atom_site_label
_atom_site_type_symbol
_atom_site_fract_x
_atom_site_fract_y
_atom_site_fract_z
_atom_site_occupancy
La1 La 0.250 0.056 0.218 1
La2 La 0.250 0.250 0.708 1
La3 La 0.250 0.444 0.218 1
La4 La 0.250 0.750 0.582 1
La5 La 0.750 0.250 0.418 1
La6 La 0.750 0.556 0.782 1
La7 La 0.750 0.750 0.292 1
La8 La 0.750 0.944 0.782 1
In1 In 0.250 0.750 0.013 1
In2 In 0.750 0.250 0.987 1
N1 N 0.250 0.250 0.394 1
N2 N 0.750 0.750 0.606 1
```

6.
This entry pairs a crystal structure of CsTcH4 with its calculated PXRD pattern. Radiation: Cu Kα (λ = 1.5418 Å). Structure: a cell relaxed with GGA-PBE.

Peak list (10 most intense, 5° ≤ 2θ ≤ 70°, by angle)
- 5.744 Å, 2θ = 15.43°, intensity 20
- 3.880 Å, 2θ = 22.92°, intensity 40
- 3.529 Å, 2θ = 25.24°, intensity 24
- 3.324 Å, 2θ = 26.82°, intensity 100
- 3.310 Å, 2θ = 26.94°, intensity 53
- 2.476 Å, 2θ = 36.29°, intensity 21
- 2.106 Å, 2θ = 42.94°, intensity 22
- 1.982 Å, 2θ = 45.77°, intensity 23
- 1.914 Å, 2θ = 47.51°, intensity 20
- 1.883 Å, 2θ = 48.33°, intensity 19

```
data_CsTcH4
_symmetry_space_group_name_H-M 'P 1'
_symmetry_Int_Tables_number 1
_cell_length_a 6.694
_cell_length_b 6.694
_cell_length_c 4.997
_cell_angle_alpha 96.72
_cell_angle_beta 96.72
_cell_angle_gamma 59.27
loop_
_symmetry_equiv_pos_as_xyz
'x,y,z'
loop_
_atom_site_label
_atom_site_type_symbol
_atom_site_fract_x
_atom_site_fract_y
_atom_site_fract_z
_atom_site_occupancy
Cs1 Cs 0.177 0.177 0.216 1
Cs2 Cs 0.823 0.823 0.784 1
Tc1 Tc 0.482 0.482 0.748 1
Tc2 Tc 0.518 0.518 0.252 1
H1 H 0.269 0.577 0.444 1
H2 H 0.302 0.698 0.000 1
H3 H 0.338 0.338 0.772 1
H4 H 0.423 0.731 0.556 1
H5 H 0.577 0.269 0.444 1
H6 H 0.662 0.662 0.228 1
H7 H 0.698 0.302 0.000 1
H8 H 0.731 0.423 0.556 1
```

7.
This entry pairs a crystal structure of YBSe3 with its calculated PXRD pattern. Radiation: Cu Kα (λ = 1.5418 Å). Structure: a cell relaxed with GGA-PBE.

Peak list (10 most intense, 5° ≤ 2θ ≤ 70°, by angle)
- 3.095 Å, 2θ = 28.85°, intensity 58
- 2.915 Å, 2θ = 30.67°, intensity 82
- 2.896 Å, 2θ = 30.88°, intensity 100
- 2.837 Å, 2θ = 31.53°, intensity 52
- 2.639 Å, 2θ = 33.97°, intensity 81
- 2.622 Å, 2θ = 34.20°, intensity 53
- 2.553 Å, 2θ = 35.15°, intensity 47
- 2.473 Å, 2θ = 36.32°, intensity 50
- 2.363 Å, 2θ = 38.09°, intensity 62
- 2.336 Å, 2θ = 38.53°, intensity 78

```
data_YBSe3
_symmetry_space_group_name_H-M 'P 1'
_symmetry_Int_Tables_number 1
_cell_length_a 6.633
_cell_length_b 7.491
_cell_length_c 11.028
_cell_angle_alpha 90.00
_cell_angle_beta 124.08
_cell_angle_gamma 90.00
loop_
_symmetry_equiv_pos_as_xyz
'x,y,z'
loop_
_atom_site_label
_atom_site_type_symbol
_atom_site_fract_x
_atom_site_fract_y
_atom_site_fract_z
_atom_site_occupancy
Y1 Y 0.206 0.129 0.247 1
Y2 Y 0.206 0.371 0.747 1
Y3 Y 0.794 0.629 0.253 1
Y4 Y 0.794 0.871 0.753 1
B1 B 0.198 0.650 0.094 1
B2 B 0.198 0.850 0.594 1
B3 B 0.802 0.150 0.406 1
B4 B 0.802 0.350 0.906 1
Se1 Se 0.067 0.195 0.933 1
Se2 Se 0.067 0.305 0.433 1
Se3 Se 0.274 0.688 0.947 1
Se4 Se 0.274 0.812 0.447 1
Se5 Se 0.394 0.009 0.761 1
Se6 Se 0.394 0.491 0.261 1
Se7 Se 0.606 0.509 0.739 1
Se8 Se 0.606 0.991 0.239 1
Se9 Se 0.726 0.188 0.553 1
Se10 Se 0.726 0.312 0.053 1
Se11 Se 0.933 0.695 0.567 1
Se12 Se 0.933 0.805 0.067 1
```

8.
This entry pairs a crystal structure of Ac3Ga2 with its calculated PXRD pattern. Radiation: Cu Kα (λ = 1.5418 Å). Structure: a cell relaxed with GGA-PBE.

Peak list (10 most intense, 5° ≤ 2θ ≤ 70°, by angle)
- 3.877 Å, 2θ = 22.94°, intensity 98
- 2.746 Å, 2θ = 32.61°, intensity 100
- 2.737 Å, 2θ = 32.72°, intensity 99
- 2.241 Å, 2θ = 40.24°, intensity 24
- 1.938 Å, 2θ = 46.87°, intensity 37
- 1.736 Å, 2θ = 52.72°, intensity 22
- 1.731 Å, 2θ = 52.88°, intensity 22
- 1.584 Å, 2θ = 58.23°, intensity 59
- 1.578 Å, 2θ = 58.48°, intensity 19
- 1.373 Å, 2θ = 68.31°, intensity 12

```
data_Ac3Ga2
_symmetry_space_group_name_H-M 'P 1'
_symmetry_Int_Tables_number 1
_cell_length_a 5.492
_cell_length_b 5.492
_cell_length_c 6.692
_cell_angle_alpha 90.01
_cell_angle_beta 90.01
_cell_angle_gamma 60.01
loop_
_symmetry_equiv_pos_as_xyz
'x,y,z'
loop_
_atom_site_label
_atom_site_type_symbol
_atom_site_fract_x
_atom_site_fract_y
_atom_site_fract_z
_atom_site_occupancy
Ac1 Ac 0.000 0.000 0.000 1
Ac2 Ac 0.333 0.333 0.334 1
Ac3 Ac 0.667 0.667 0.666 1
Ga1 Ga 0.333 0.333 0.826 1
Ga2 Ga 0.667 0.667 0.174 1
```

9.
This entry pairs a crystal structure of SrGe4 with its calculated PXRD pattern. Radiation: Cu Kα (λ = 1.5418 Å). Structure: a cell relaxed with GGA-PBE.

Peak list (10 most intense, 5° ≤ 2θ ≤ 70°, by angle)
- 3.456 Å, 2θ = 25.78°, intensity 17
- 2.572 Å, 2θ = 34.89°, intensity 100
- 2.557 Å, 2θ = 35.09°, intensity 45
- 2.540 Å, 2θ = 35.33°, intensity 59
- 2.530 Å, 2θ = 35.47°, intensity 58
- 2.089 Å, 2θ = 43.31°, intensity 35
- 2.078 Å, 2θ = 43.55°, intensity 26
- 1.620 Å, 2θ = 56.84°, intensity 11
- 1.595 Å, 2θ = 57.81°, intensity 12
- 1.393 Å, 2θ = 67.22°, intensity 14

```
data_SrGe4
_symmetry_space_group_name_H-M 'P 1'
_symmetry_Int_Tables_number 1
_cell_length_a 4.178
_cell_length_b 6.666
_cell_length_c 8.235
_cell_angle_alpha 90.00
_cell_angle_beta 104.47
_cell_angle_gamma 90.00
loop_
_symmetry_equiv_pos_as_xyz
'x,y,z'
loop_
_atom_site_label
_atom_site_type_symbol
_atom_site_fract_x
_atom_site_fract_y
_atom_site_fract_z
_atom_site_occupancy
Sr1 Sr 0.112 0.250 0.224 1
Sr2 Sr 0.888 0.750 0.776 1
Ge1 Ge 0.091 0.750 0.181 1
Ge2 Ge 0.303 0.059 0.607 1
Ge3 Ge 0.303 0.441 0.607 1
Ge4 Ge 0.500 0.000 0.000 1
Ge5 Ge 0.500 0.500 0.000 1
Ge6 Ge 0.697 0.559 0.393 1
Ge7 Ge 0.697 0.941 0.393 1
Ge8 Ge 0.909 0.250 0.819 1
```

10.
This entry pairs a crystal structure of Be2P with its calculated PXRD pattern. Radiation: Cu Kα (λ = 1.5418 Å). Structure: a cell relaxed with GGA-PBE.

Peak list (10 most intense, 5° ≤ 2θ ≤ 70°, by angle)
- 3.485 Å, 2θ = 25.56°, intensity 56
- 2.888 Å, 2θ = 30.97°, intensity 100
- 2.605 Å, 2θ = 34.43°, intensity 68
- 1.972 Å, 2θ = 46.03°, intensity 30
- 1.735 Å, 2θ = 52.77°, intensity 46
- 1.716 Å, 2θ = 53.39°, intensity 36
- 1.606 Å, 2θ = 57.36°, intensity 9
- 1.553 Å, 2θ = 59.53°, intensity 26
- 1.487 Å, 2θ = 62.46°, intensity 12
- 1.444 Å, 2θ = 64.55°, intensity 10

```
data_Be2P
_symmetry_space_group_name_H-M 'P 1'
_symmetry_Int_Tables_number 1
_cell_length_a 7.252
_cell_length_b 7.252
_cell_length_c 7.252
_cell_angle_alpha 27.68
_cell_angle_beta 27.68
_cell_angle_gamma 27.68
loop_
_symmetry_equiv_pos_as_xyz
'x,y,z'
loop_
_atom_site_label
_atom_site_type_symbol
_atom_site_fract_x
_atom_site_fract_y
_atom_site_fract_z
_atom_site_occupancy
Be1 Be 0.000 0.000 0.000 1
Be2 Be 0.097 0.097 0.097 1
Be3 Be 0.199 0.199 0.199 1
Be4 Be 0.491 0.491 0.491 1
P1 P 0.383 0.383 0.383 1
P2 P 0.899 0.899 0.899 1
```

11.
This entry pairs a crystal structure of Pm8BiPb2 with its calculated PXRD pattern. Radiation: Cu Kα (λ = 1.5418 Å). Structure: a cell relaxed with GGA-PBE.

Peak list (10 most intense, 5° ≤ 2θ ≤ 70°, by angle)
- 3.284 Å, 2θ = 27.16°, intensity 16
- 3.116 Å, 2θ = 28.64°, intensity 34
- 2.981 Å, 2θ = 29.98°, intensity 100
- 2.872 Å, 2θ = 31.14°, intensity 15
- 2.833 Å, 2θ = 31.59°, intensity 32
- 2.745 Å, 2θ = 32.63°, intensity 28
- 2.547 Å, 2θ = 35.24°, intensity 45
- 2.436 Å, 2θ = 36.90°, intensity 27
- 2.232 Å, 2θ = 40.40°, intensity 14
- 1.626 Å, 2θ = 56.62°, intensity 16

```
data_Pm8BiPb2
_symmetry_space_group_name_H-M 'P 1'
_symmetry_Int_Tables_number 1
_cell_length_a 10.291
_cell_length_b 10.291
_cell_length_c 7.355
_cell_angle_alpha 98.65
_cell_angle_beta 98.65
_cell_angle_gamma 28.65
loop_
_symmetry_equiv_pos_as_xyz
'x,y,z'
loop_
_atom_site_label
_atom_site_type_symbol
_atom_site_fract_x
_atom_site_fract_y
_atom_site_fract_z
_atom_site_occupancy
Pm1 Pm 0.018 0.018 0.252 1
Pm2 Pm 0.213 0.213 0.851 1
Pm3 Pm 0.338 0.338 0.474 1
Pm4 Pm 0.405 0.405 0.010 1
Pm5 Pm 0.595 0.595 0.990 1
Pm6 Pm 0.662 0.662 0.526 1
Pm7 Pm 0.787 0.787 0.149 1
Pm8 Pm 0.982 0.982 0.748 1
Bi1 Bi 0.500 0.500 0.500 1
Pb1 Pb 0.181 0.181 0.275 1
Pb2 Pb 0.819 0.819 0.725 1
```

12.
This entry pairs a crystal structure of KPt7 with its calculated PXRD pattern. Radiation: Cu Kα (λ = 1.5418 Å). Structure: a cell relaxed with GGA-PBE.

Peak list (10 most intense, 5° ≤ 2θ ≤ 70°, by angle)
- 4.664 Å, 2θ = 19.03°, intensity 7
- 4.039 Å, 2θ = 22.01°, intensity 4
- 2.856 Å, 2θ = 31.32°, intensity 3
- 2.436 Å, 2θ = 36.90°, intensity 4
- 2.332 Å, 2θ = 38.61°, intensity 100
- 2.020 Å, 2θ = 44.88°, intensity 49
- 1.853 Å, 2θ = 49.16°, intensity 2
- 1.806 Å, 2θ = 50.52°, intensity 2
- 1.555 Å, 2θ = 59.45°, intensity 1
- 1.428 Å, 2θ = 65.34°, intensity 33

```
data_KPt7
_symmetry_space_group_name_H-M 'P 1'
_symmetry_Int_Tables_number 1
_cell_length_a 5.712
_cell_length_b 5.712
_cell_length_c 5.712
_cell_angle_alpha 60.00
_cell_angle_beta 60.00
_cell_angle_gamma 60.00
loop_
_symmetry_equiv_pos_as_xyz
'x,y,z'
loop_
_atom_site_label
_atom_site_type_symbol
_atom_site_fract_x
_atom_site_fract_y
_atom_site_fract_z
_atom_site_occupancy
K1 K 0.000 0.000 0.000 1
Pt1 Pt 0.000 0.000 0.500 1
Pt2 Pt 0.000 0.500 0.000 1
Pt3 Pt 0.000 0.500 0.500 1
Pt4 Pt 0.500 0.000 0.000 1
Pt5 Pt 0.500 0.000 0.500 1
Pt6 Pt 0.500 0.500 0.000 1
Pt7 Pt 0.500 0.500 0.500 1
```

13.
This entry pairs a crystal structure of UIrRuPt with its calculated PXRD pattern. Radiation: Cu Kα (λ = 1.5418 Å). Structure: a cell relaxed with GGA-PBE.

Peak list (10 most intense, 5° ≤ 2θ ≤ 70°, by angle)
- 4.060 Å, 2θ = 21.89°, intensity 3
- 3.908 Å, 2θ = 22.75°, intensity 3
- 2.918 Å, 2θ = 30.63°, intensity 3
- 2.338 Å, 2θ = 38.50°, intensity 100
- 2.099 Å, 2θ = 43.10°, intensity 18
- 2.030 Å, 2θ = 44.64°, intensity 17
- 1.954 Å, 2θ = 46.47°, intensity 15
- 1.459 Å, 2θ = 63.79°, intensity 12
- 1.430 Å, 2θ = 65.23°, intensity 11
- 1.408 Å, 2θ = 66.40°, intensity 10

```
data_UIrRuPt
_symmetry_space_group_name_H-M 'P 1'
_symmetry_Int_Tables_number 1
_cell_length_a 3.908
_cell_length_b 4.060
_cell_length_c 4.198
_cell_angle_alpha 90.00
_cell_angle_beta 90.00
_cell_angle_gamma 90.00
loop_
_symmetry_equiv_pos_as_xyz
'x,y,z'
loop_
_atom_site_label
_atom_site_type_symbol
_atom_site_fract_x
_atom_site_fract_y
_atom_site_fract_z
_atom_site_occupancy
U1 U 0.000 0.000 0.000 1
Ir1 Ir 0.500 0.000 0.500 1
Ru1 Ru 0.500 0.500 0.000 1
Pt1 Pt 0.000 0.500 0.500 1
```